No. 1
Mg14ZrCd: computed powder diffractogram (CuKα), based on a cell relaxed with GGA-PBE.
Peak positions follow from Bragg's law for the DFT cell and can differ from measured ones.

Most intense lines, 15 to 90 degrees two-theta, most intense first:
2θ (°), d (Å), I_rel, (hkl)
36.95, 2.433, 100, 2 2 2
36.73, 2.447, 51, 2 0 4
35.29, 2.543, 37, 4 0 0
18.13, 4.893, 30, 1 0 2
32.31, 2.770, 29, 0 2 2
15.88, 5.581, 21, 0 0 2
69.14, 1.359, 19, 4 2 6
64.43, 1.446, 18, 6 2 2
48.60, 1.873, 18, 4 2 2
57.33, 1.607, 17, 0 2 6
17.44, 5.086, 16, 2 0 0
23.67, 3.759, 16, 2 0 2

Crystal structure
```
data_Mg14ZrCd
_cell_length_a 10.1727
_cell_length_b 6.3826
_cell_length_c 11.1626
_cell_angle_alpha 90.00
_cell_angle_beta 90.00
_cell_angle_gamma 90.00
_symmetry_space_group_name_H-M 'A m m 2'
_symmetry_Int_Tables_number 38
_symmetry_space_group_name_Hall 'A 2 -2'
loop_
_atom_site_label
_atom_site_type_symbol
_atom_site_fract_x
_atom_site_fract_y
_atom_site_fract_z
_atom_site_occupancy
Mg1 Mg 0.0000 0.0000 0.9999 1
Mg2 Mg 0.0000 0.0000 0.5000 1
Mg3 Mg 0.0000 0.2503 0.2499 1
Mg4 Mg 0.2499 0.0000 0.1642 1
Mg5 Mg 0.2515 0.2470 0.9173 1
Mg6 Mg 0.2531 0.0000 0.6660 1
Mg7 Mg 0.5000 0.2461 0.2515 1
Zr1 Zr 0.5000 0.0000 0.0015 1
Cd1 Cd 0.5000 0.0000 0.4969 1
```



No. 2
LiMg2: computed powder diffractogram (CuKα), based on a cell relaxed with GGA-PBE.
Peak positions follow from Bragg's law for the DFT cell and can differ from measured ones.

Most intense lines, 15 to 90 degrees two-theta, most intense first:
2θ (°), d (Å), I_rel, (hkl)
37.26, 2.413, 100, 1 0 3
32.38, 2.765, 25, 1 0 0
36.35, 2.471, 24, 0 0 6
32.95, 2.718, 20, 1 0 1
70.18, 1.341, 19, 1 1 6
57.75, 1.596, 18, 1 1 0
66.00, 1.415, 17, 1 0 9
49.46, 1.843, 14, 1 0 6
70.76, 1.331, 14, 2 0 3
24.00, 3.707, 12, 0 0 4
44.81, 2.022, 6, 1 0 5
54.57, 1.682, 6, 1 0 7

Crystal structure
```
data_LiMg2
_cell_length_a 3.1929
_cell_length_b 3.1929
_cell_length_c 14.8288
_cell_angle_alpha 90.00
_cell_angle_beta 90.00
_cell_angle_gamma 120.00
_symmetry_space_group_name_H-M 'P 63/m m c'
_symmetry_Int_Tables_number 194
_symmetry_space_group_name_Hall '-P 6c 2c'
loop_
_atom_site_label
_atom_site_type_symbol
_atom_site_fract_x
_atom_site_fract_y
_atom_site_fract_z
_atom_site_occupancy
Li1 Li 0.3333 0.6667 0.2500 1
Mg1 Mg 0.3333 0.6667 0.5853 1
```